Record 1
Starting from DFT lattice parameters and positions (PBE), the X-ray powder pattern of Mg6NiW was calculated for Cu Kα X-rays.

The 12 most intense peaks (5 to 70 degrees two-theta), by intensity:
2θ (°), I (rel.), hkl
17.3, 100, 0 1 1
40.0, 64, 1 2 2
38.7, 53, 1 0 4
16.5, 47, 0 0 2
34.9, 36, 0 2 2
25.7, 31, 1 1 1
38.3, 30, 2 0 0
35.1, 29, 1 1 3
25.2, 22, 1 0 2
52.8, 22, 2 2 2
42.3, 21, 2 1 1
49.2, 17, 1 1 5

Structural model:
```
data_Mg6NiW
_space_group_name_H-M_alt 'A m m 2'
_space_group_IT_number 38
_cell_length_a 4.704
_cell_length_b 5.853
_cell_length_c 10.722
_cell_angle_alpha 90.00
_cell_angle_beta 90.00
_cell_angle_gamma 90.00
loop_
_space_group_symop_operation_xyz
'x,y,z'
'-x,-y,z'
'-x,y,z'
'x,-y,z'
'x,y+1/2,z+1/2'
'-x,-y+1/2,z+1/2'
'-x,y+1/2,z+1/2'
'x,-y+1/2,z+1/2'
loop_
_atom_site_label
_atom_site_fract_x
_atom_site_fract_y
_atom_site_fract_z
_atom_site_occupancy
Mg1 0.000 0.000 0.000 1
Mg2 0.000 0.239 0.257 1
Mg3 0.500 0.000 0.842 1
Mg4 0.500 0.244 0.594 1
Ni1 0.000 0.000 0.475 1
W1 0.500 0.000 0.359 1
```

=====

Record 2
Starting from DFT lattice parameters and positions (PBE), the X-ray powder pattern of Sr7H12Cl2 was calculated for Cu Kα X-rays.

The 12 most intense peaks (5 to 70 degrees two-theta), by intensity:
2θ (°), I (rel.), hkl
27.2, 100, 2 1 0
28.8, 58, 1 1 1
30.6, 54, 2 0 1
35.6, 30, 1 2 1
54.2, 30, 2 1 2
51.5, 29, 3 2 1
48.2, 23, 1 4 0
44.1, 20, 1 3 1
24.8, 17, 1 0 1
68.7, 16, 1 4 2
31.0, 14, 3 0 0
45.9, 13, 0 0 2

Structural model:
```
data_Sr7H12Cl2
_space_group_name_H-M_alt 'P -6'
_space_group_IT_number 174
_cell_length_a 9.9983
_cell_length_b 9.9983
_cell_length_c 3.9536
_cell_angle_alpha 90.00
_cell_angle_beta 90.00
_cell_angle_gamma 120.00
loop_
_space_group_symop_operation_xyz
'x,y,z'
'-x+y,-x,-z'
'-y,x-y,z'
'x,y,-z'
'-x+y,-x,z'
'-y,x-y,-z'
loop_
_atom_site_label
_atom_site_fract_x
_atom_site_fract_y
_atom_site_fract_z
_atom_site_occupancy
Sr1 0.0000 0.0000 0.0000 1
Sr2 0.1164 0.7174 0.5000 1
Sr3 0.4119 0.1070 0.0000 1
H1 0.0490 0.4394 0.5000 1
H2 0.1190 0.2762 0.0000 1
H3 0.2155 0.1123 0.5000 1
H4 0.4252 0.3652 0.0000 1
Cl1 0.3333 0.6667 0.0000 1
Cl2 0.6667 0.3333 0.5000 1
```

=====

Record 3
Starting from DFT lattice parameters and positions (PBE), the X-ray powder pattern of Ga2Si4Mo3 was calculated for Cu Kα X-rays.

The 12 most intense peaks (5 to 70 degrees two-theta), by intensity:
2θ (°), I (rel.), hkl
40.5, 100, 1 3 -1
41.2, 41, 0 0 3
47.2, 36, 2 0 -2
25.7, 26, 1 1 1
47.4, 26, 1 3 2
25.6, 20, 0 2 1
34.9, 20, 1 1 -2
38.0, 18, 2 0 0
40.6, 17, 2 0 1
47.5, 12, 2 0 2
69.5, 12, 1 3 -4
44.2, 11, 2 2 0

Structural model:
```
data_Ga2Si4Mo3
_space_group_name_H-M_alt 'C 1 2 1'
_space_group_IT_number 5
_cell_length_a 4.733
_cell_length_b 8.208
_cell_length_c 6.571
_cell_angle_alpha 90.00
_cell_angle_beta 90.38
_cell_angle_gamma 90.00
loop_
_space_group_symop_operation_xyz
'x,y,z'
'-x,y,-z'
'x+1/2,y+1/2,z'
'-x+1/2,y+1/2,-z'
loop_
_atom_site_label
_atom_site_fract_x
_atom_site_fract_y
_atom_site_fract_z
_atom_site_occupancy
Ga1 0.247 0.000 0.337 1
Si1 0.000 0.243 0.000 1
Si2 0.000 0.924 0.000 1
Si3 0.242 0.167 0.668 1
Mo1 0.000 0.587 0.000 1
Mo2 0.250 0.331 0.324 1
```

=====

Record 4
Starting from DFT lattice parameters and positions (PBE), the X-ray powder pattern of BaCdBi2 was calculated for Cu Kα X-rays.

The 12 most intense peaks (5 to 70 degrees two-theta), by intensity:
2θ (°), I (rel.), hkl
30.2, 100, 1 1 4
37.7, 43, 2 0 0
26.0, 30, 1 0 5
63.5, 24, 3 1 4
38.0, 21, 1 0 9
39.7, 20, 1 1 8
27.4, 16, 1 1 2
54.4, 15, 2 2 0
54.6, 15, 2 1 9
21.5, 13, 1 0 3
43.9, 13, 2 0 6
46.4, 13, 2 1 5

Structural model:
```
data_BaCdBi2
_space_group_name_H-M_alt 'I 4/m m m'
_space_group_IT_number 139
_space_group_name_Hall '-I 4 2'
_cell_length_a 4.772
_cell_length_b 4.772
_cell_length_c 24.576
_cell_angle_alpha 90.00
_cell_angle_beta 90.00
_cell_angle_gamma 90.00
loop_
_atom_site_label
_atom_site_fract_x
_atom_site_fract_y
_atom_site_fract_z
_atom_site_occupancy
Ba1 0.000 0.000 0.116 1
Cd1 0.000 0.500 0.250 1
Bi1 0.000 0.000 0.329 1
Bi2 0.000 0.500 0.000 1
```